Entry 1:
Theoretical powder XRD pattern
Compound: In5SnBi
Radiation: Cu Kα, 1.54184 Å
Structure: a structure optimized by DFT (GGA-PBE)
Kinematic intensities with the Lorentz-polarization factor, no thermal factor.

Principal peaks in the range 10° ≤ 2θ ≤ 80°, most intense first:
2θ 33.13, I 100.0; 2θ 39.56, I 31.3; 2θ 67.71, I 24.9; 2θ 54.62, I 22.7; 2θ 36.09, I 18.9; 2θ 21.45, I 14.6; 2θ 63.03, I 13.5; 2θ 69.52, I 11.0

Cell and atoms:
```
In5SnBi
1.0
4.556 0.000 0.000
0.000 4.556 0.000
0.000 0.000 9.954
In Sn Bi
5 1 1
direct
0.000 0.000 0.000
0.000 0.500 0.264
0.000 0.500 0.736
0.500 0.000 0.264
0.500 0.000 0.736
0.500 0.500 0.000
0.500 0.500 0.500
```

=====

Entry 2:
Theoretical powder XRD pattern
Compound: Pm3Al4Ni2
Radiation: Cu Kα, 1.54184 Å
Structure: a structure optimized by DFT (GGA-PBE)
Kinematic intensities with the Lorentz-polarization factor, no thermal factor.

Principal peaks in the range 10° ≤ 2θ ≤ 80°, most intense first:
2θ 32.77, I 100.0; 2θ 23.60, I 40.0; 2θ 35.59, I 36.1; 2θ 32.17, I 33.9; 2θ 41.66, I 29.0; 2θ 29.16, I 27.6; 2θ 39.89, I 27.6; 2θ 33.52, I 26.5

Cell and atoms:
```
Pm3Al4Ni2
1.0
5.320 -2.168 0.000
5.320 2.168 0.000
-2.520 0.000 8.348
Pm Al Ni
3 4 2
direct
0.000 0.000 0.000
0.400 0.400 0.305
0.600 0.600 0.695
0.146 0.146 0.432
0.275 0.275 0.924
0.725 0.725 0.076
0.854 0.854 0.568
0.334 0.334 0.680
0.666 0.666 0.320
```

=====

Entry 3:
Theoretical powder XRD pattern
Compound: Bi3BrO4
Radiation: Cu Kα, 1.54184 Å
Structure: a structure optimized by DFT (GGA-PBE)
Kinematic intensities with the Lorentz-polarization factor, no thermal factor.

Principal peaks in the range 10° ≤ 2θ ≤ 80°, most intense first:
2θ 28.50, I 100.0; 2θ 30.77, I 17.3; 2θ 49.06, I 17.2; 2θ 30.63, I 15.5; 2θ 43.97, I 13.3; 2θ 23.49, I 13.2; 2θ 53.33, I 12.0; 2θ 58.95, I 12.0

Cell and atoms:
```
Bi3BrO4
1.0
5.812 0.000 0.000
0.000 19.284 0.000
0.000 0.000 5.838
Bi Br O
12 4 16
direct
0.204 0.140 0.203
0.204 0.360 0.297
0.250 0.000 0.703
0.250 0.500 0.797
0.296 0.640 0.297
0.296 0.860 0.203
0.704 0.140 0.797
0.704 0.360 0.703
0.750 0.000 0.297
0.750 0.500 0.203
0.796 0.640 0.703
0.796 0.860 0.797
0.239 0.250 0.750
0.261 0.750 0.750
0.739 0.250 0.250
0.761 0.750 0.250
0.011 0.588 0.457
0.011 0.912 0.043
0.071 0.064 0.433
0.071 0.436 0.067
0.429 0.564 0.067
0.429 0.936 0.433
0.489 0.088 0.043
0.489 0.412 0.457
0.511 0.588 0.543
0.511 0.912 0.957
0.571 0.064 0.567
0.571 0.436 0.933
0.929 0.564 0.933
0.929 0.936 0.567
0.989 0.088 0.957
0.989 0.412 0.543
```

=====

Entry 4:
Theoretical powder XRD pattern
Compound: Pr7Tm4Sc
Radiation: Cu Kα, 1.54184 Å
Structure: a structure optimized by DFT (GGA-PBE)
Kinematic intensities with the Lorentz-polarization factor, no thermal factor.

Principal peaks in the range 10° ≤ 2θ ≤ 80°, most intense first:
2θ 31.14, I 100.0; 2θ 32.21, I 46.2; 2θ 31.69, I 44.9; 2θ 32.03, I 40.3; 2θ 29.27, I 36.9; 2θ 32.84, I 17.4; 2θ 47.79, I 15.1; 2θ 33.99, I 14.3

Cell and atoms:
```
Pr7Tm4Sc
1.0
6.110 0.000 0.000
-0.209 6.872 0.000
-0.288 -2.822 9.553
Pr Tm Sc
7 4 1
direct
0.000 0.000 0.000
0.013 0.823 0.315
0.155 0.493 0.990
0.177 0.338 0.339
0.514 0.030 0.851
0.561 0.772 0.501
0.622 0.508 0.812
0.077 0.659 0.664
0.115 0.153 0.648
0.513 0.904 0.168
0.653 0.402 0.165
0.676 0.254 0.473
```

=====

Entry 5:
Theoretical powder XRD pattern
Compound: CsNdTe2
Radiation: Cu Kα, 1.54184 Å
Structure: a structure optimized by DFT (GGA-PBE)
Kinematic intensities with the Lorentz-polarization factor, no thermal factor.

Principal peaks in the range 10° ≤ 2θ ≤ 80°, most intense first:
2θ 27.53, I 100.0; 2θ 38.64, I 48.4; 2θ 40.01, I 24.3; 2θ 32.00, I 23.8; 2θ 22.99, I 23.6; 2θ 48.10, I 21.4; 2θ 63.32, I 18.7; 2θ 25.68, I 15.0

Cell and atoms:
```
CsNdTe2
1.0
4.661 0.000 0.000
-2.330 4.036 0.000
0.000 0.000 27.158
Cs Nd Te
3 3 6
direct
0.000 0.000 0.000
0.333 0.667 0.667
0.667 0.333 0.333
0.000 0.000 0.831
0.333 0.667 0.498
0.667 0.333 0.165
0.000 0.000 0.230
0.000 0.000 0.433
0.333 0.667 0.100
0.333 0.667 0.896
0.667 0.333 0.563
0.667 0.333 0.766
```

=====

Entry 6:
Theoretical powder XRD pattern
Compound: PaSi2AgO8
Radiation: Cu Kα, 1.54184 Å
Structure: a structure optimized by DFT (GGA-PBE)
Kinematic intensities with the Lorentz-polarization factor, no thermal factor.

Principal peaks in the range 10° ≤ 2θ ≤ 80°, most intense first:
2θ 18.25, I 100.0; 2θ 32.20, I 63.9; 2θ 31.89, I 44.8; 2θ 22.51, I 34.7; 2θ 41.79, I 31.8; 2θ 45.95, I 31.6; 2θ 57.02, I 24.3; 2θ 49.62, I 17.0

Cell and atoms:
```
PaSi2AgO8
1.0
5.613 0.000 0.000
-2.806 4.861 0.000
0.000 0.000 6.777
Pa Si Ag O
1 2 1 8
direct
0.000 0.000 0.000
0.333 0.667 0.719
0.667 0.333 0.281
0.000 0.000 0.500
0.174 0.348 0.800
0.174 0.826 0.800
0.333 0.667 0.477
0.348 0.174 0.200
0.652 0.826 0.800
0.667 0.333 0.523
0.826 0.174 0.200
0.826 0.652 0.200
```

=====

Entry 7:
Theoretical powder XRD pattern
Compound: TbSmTh14
Radiation: Cu Kα, 1.54184 Å
Structure: a structure optimized by DFT (GGA-PBE)
Kinematic intensities with the Lorentz-polarization factor, no thermal factor.

Principal peaks in the range 10° ≤ 2θ ≤ 80°, most intense first:
2θ 32.68, I 100.0; 2θ 29.75, I 38.0; 2θ 30.83, I 33.4; 2θ 60.67, I 30.5; 2θ 50.86, I 25.6; 2θ 56.00, I 22.4; 2θ 37.10, I 21.4; 2θ 61.78, I 16.7

Cell and atoms:
```
TbSmTh14
1.0
11.602 0.000 0.000
0.000 3.588 6.222
0.000 -3.588 6.222
Tb Sm Th
1 1 14
direct
0.000 0.000 0.000
0.000 0.500 0.500
0.000 0.498 0.997
0.000 0.997 0.498
0.251 0.165 0.165
0.251 0.165 0.666
0.251 0.666 0.165
0.252 0.666 0.666
0.500 0.332 0.332
0.500 0.332 0.832
0.500 0.832 0.332
0.500 0.832 0.832
0.748 0.666 0.666
0.749 0.165 0.165
0.749 0.165 0.666
0.749 0.666 0.165
```

=====

Entry 8:
Theoretical powder XRD pattern
Compound: CsK2AcI6
Radiation: Cu Kα, 1.54184 Å
Structure: a structure optimized by DFT (GGA-PBE)
Kinematic intensities with the Lorentz-polarization factor, no thermal factor.

Principal peaks in the range 10° ≤ 2θ ≤ 80°, most intense first:
2θ 22.65, I 100.0; 2θ 29.83, I 70.1; 2θ 13.53, I 53.4; 2θ 34.51, I 46.5; 2θ 39.18, I 33.5; 2θ 33.87, I 24.9; 2θ 18.63, I 20.1; 2θ 11.93, I 19.9

Cell and atoms:
```
CsK2AcI6
1.0
4.502 2.599 8.024
-4.502 2.599 8.024
0.000 -5.198 8.024
Cs K Ac I
1 2 1 6
direct
0.000 0.000 0.000
0.199 0.199 0.199
0.713 0.713 0.713
0.515 0.515 0.515
0.144 0.423 0.767
0.342 0.898 0.570
0.423 0.767 0.144
0.570 0.342 0.898
0.767 0.144 0.423
0.898 0.570 0.342
```

=====

Entry 9:
Theoretical powder XRD pattern
Compound: Li2Tl2F
Radiation: Cu Kα, 1.54184 Å
Structure: a structure optimized by DFT (GGA-PBE)
Kinematic intensities with the Lorentz-polarization factor, no thermal factor.

Principal peaks in the range 10° ≤ 2θ ≤ 80°, most intense first:
2θ 29.36, I 100.0; 2θ 37.96, I 55.3; 2θ 34.99, I 48.8; 2θ 28.06, I 47.8; 2θ 31.38, I 45.0; 2θ 30.41, I 37.5; 2θ 38.90, I 28.5; 2θ 35.60, I 26.7

Cell and atoms:
```
Li2Tl2F
1.0
3.253 0.000 0.000
0.000 3.464 0.000
1.266 1.716 9.537
Li Tl F
2 2 1
direct
0.000 0.000 0.000
0.390 0.855 0.280
0.151 0.223 0.548
0.575 0.597 0.803
0.924 0.903 0.189
```

=====

Entry 10:
Theoretical powder XRD pattern
Compound: Cu8PtAu6
Radiation: Cu Kα, 1.54184 Å
Structure: a structure optimized by DFT (GGA-PBE)
Kinematic intensities with the Lorentz-polarization factor, no thermal factor.

Principal peaks in the range 10° ≤ 2θ ≤ 80°, most intense first:
2θ 42.74, I 100.0; 2θ 27.13, I 81.6; 2θ 47.95, I 39.6; 2θ 38.59, I 29.6; 2θ 45.47, I 26.2; 2θ 59.05, I 23.6; 2θ 37.29, I 21.1; 2θ 32.38, I 12.1

Cell and atoms:
```
Cu8PtAu6
1.0
10.040 0.000 0.000
-5.020 8.695 0.000
0.000 0.000 2.765
Cu Pt Au
8 1 6
direct
0.082 0.272 0.000
0.190 0.918 0.000
0.272 0.190 0.000
0.333 0.667 0.000
0.667 0.333 0.000
0.728 0.810 0.000
0.810 0.082 0.000
0.918 0.728 0.000
0.000 0.000 0.500
0.106 0.659 0.500
0.341 0.447 0.500
0.447 0.106 0.500
0.553 0.894 0.500
0.659 0.553 0.500
0.894 0.341 0.500
```

=====

Entry 11:
Theoretical powder XRD pattern
Compound: LaCu3O4
Radiation: Cu Kα, 1.54184 Å
Structure: a structure optimized by DFT (GGA-PBE)
Kinematic intensities with the Lorentz-polarization factor, no thermal factor.

Principal peaks in the range 10° ≤ 2θ ≤ 80°, most intense first:
2θ 38.12, I 100.0; 2θ 34.69, I 59.2; 2θ 59.84, I 51.8; 2θ 21.73, I 22.6; 2θ 30.93, I 19.5; 2θ 64.45, I 18.6; 2θ 44.31, I 12.9; 2θ 57.46, I 12.7

Cell and atoms:
```
LaCu3O4
1.0
5.783 0.000 0.000
0.000 5.783 0.000
0.000 0.000 5.783
La Cu O
2 6 8
direct
0.000 0.000 0.000
0.500 0.500 0.500
0.000 0.250 0.500
0.000 0.750 0.500
0.250 0.500 0.000
0.500 0.000 0.250
0.500 0.000 0.750
0.750 0.500 0.000
0.250 0.250 0.250
0.250 0.250 0.750
0.250 0.750 0.250
0.250 0.750 0.750
0.750 0.250 0.250
0.750 0.250 0.750
0.750 0.750 0.250
0.750 0.750 0.750
```

=====

Entry 12:
Theoretical powder XRD pattern
Compound: PaCo2B
Radiation: Cu Kα, 1.54184 Å
Structure: a structure optimized by DFT (GGA-PBE)
Kinematic intensities with the Lorentz-polarization factor, no thermal factor.

Principal peaks in the range 10° ≤ 2θ ≤ 80°, most intense first:
2θ 27.17, I 100.0; 2θ 41.79, I 78.9; 2θ 40.99, I 76.9; 2θ 35.60, I 44.9; 2θ 51.23, I 36.9; 2θ 67.61, I 35.1; 2θ 21.16, I 32.0; 2θ 37.23, I 26.1

Cell and atoms:
```
PaCo2B
1.0
3.566 0.000 0.000
0.000 3.566 0.000
0.000 0.000 8.396
Pa Co B
2 4 2
direct
0.250 0.250 0.228
0.750 0.750 0.772
0.250 0.250 0.884
0.250 0.750 0.500
0.750 0.250 0.500
0.750 0.750 0.116
0.250 0.250 0.629
0.750 0.750 0.371
```